For Ho6Co2Pt, a structure optimized by DFT (PBE) gives the simulated X-ray powder pattern in this record (Cu Kα, 1.54184 Å).

a b c (Å): 9.240 9.338 9.617
angles (deg): 90.00 90.00 90.00
Space group Immm (No. 71)
Symmetry-distinct sites (fractional):
Ho: 0.000 0.186 0.174 [8 per cell]
Ho: 0.179 0.228 0.500 [8 per cell]
Ho: 0.189 0.500 0.253 [8 per cell]
Co: 0.000 0.000 0.385 [4 per cell]
Co: 0.163 0.000 0.000 [4 per cell]
Pt: 0.000 0.500 0.000 [2 per cell]
Pt: 0.000 0.500 0.500 [2 per cell]

Peak list (8 most intense, 10 to 80 degrees two-theta, by angle)
Position (°2θ)  Rel. int.
30.30  39
33.03  100
35.33  30
35.95  78
36.16  39
38.57  26
60.06  20
61.16  47